Na2AlInF6: simulated powder X-ray diffraction pattern (Cu Kα (weighted mean of Kα1 and Kα2)), based on the GGA-PBE geometry in the Materials Project.
No peak broadening, texture or thermal motion is included.

Cell and atoms:
abc: 8.7215 8.7215 8.7215
angles: 90.00 90.00 90.00
Space group Fm-3m (No. 225)
Symmetry-distinct sites (fractional):
Na (0.2500, 0.2500, 0.2500) (multiplicity 8)
Al (0.0000, 0.0000, 0.0000) (multiplicity 4)
In (0.0000, 0.0000, 0.5000) (multiplicity 4)
F (0.0000, 0.0000, 0.2099) (multiplicity 24)

Peak list (8 most intense, 2θ = 5–70°, by angle)
d [Å]	Rel. int.	index
4.361	92	2 0 0
3.084	100	2 2 0
2.630	46	3 1 1
2.180	59	4 0 0
2.001	38	3 3 1
1.950	29	4 2 0
1.780	33	4 2 2
1.542	31	4 4 0